[1]
# RbSn12
Simulated PXRD pattern, Cu Kα (weighted mean of Kα1 and Kα2). Input: a crystal structure in Alexandria, relaxed with PBE.

```
data_RbSn12
_cell_length_a 8.199
_cell_length_b 8.199
_cell_length_c 8.199
_cell_angle_alpha 90.00
_cell_angle_beta 90.00
_cell_angle_gamma 90.00
_space_group_name_H-M_alt 'P m -3 m'
_space_group_IT_number 221
_space_group_name_Hall '-P 4 2 3'
loop_
_atom_site_label
_atom_site_type_symbol
_atom_site_fract_x
_atom_site_fract_y
_atom_site_fract_z
Rb1 Rb 0.000 0.000 0.000
Sn1 Sn 0.000 0.249 0.500
```

The 10 most intense peaks (10° ≤ 2θ ≤ 90°), by angle:
index, 2θ (°), I_rel
1 1 0, 15.28, 88
2 0 0, 21.68, 41
2 1 1, 26.63, 100
3 1 0, 34.60, 25
2 2 2, 38.02, 76
3 2 1, 41.20, 63
4 0 0, 44.19, 48
4 4 0, 64.27, 32
5 3 2, 70.85, 20
6 2 2, 77.18, 32

[2]
# RbSn2
Simulated PXRD pattern, Cu Kα (weighted mean of Kα1 and Kα2). Input: a crystal structure in Alexandria, relaxed with PBE.

```
data_RbSn2
_cell_length_a 5.093
_cell_length_b 8.584
_cell_length_c 9.822
_cell_angle_alpha 90.00
_cell_angle_beta 90.00
_cell_angle_gamma 90.00
_space_group_name_H-M_alt 'I m m a'
_space_group_IT_number 74
_space_group_name_Hall '-I 2b 2'
loop_
_atom_site_label
_atom_site_type_symbol
_atom_site_fract_x
_atom_site_fract_y
_atom_site_fract_z
Rb1 Rb 0.000 0.250 0.075
Sn1 Sn 0.000 0.076 0.661
```

The 10 most intense peaks (10° ≤ 2θ ≤ 90°), by angle:
index, 2θ (°), I_rel
0 1 1, 13.70, 18
1 1 2, 27.28, 74
0 2 2, 27.60, 16
1 2 1, 28.68, 52
1 0 3, 32.55, 100
2 0 0, 35.24, 35
1 2 3, 38.85, 16
1 3 2, 40.56, 20
2 3 1, 48.76, 31
1 3 4, 52.28, 31